The following is a computed powder X-ray diffraction pattern of PmHgPd. It was derived from a cell relaxed with PBE, using Cu Kα (λ = 1.5418 Å).
Neutral-atom scattering factors, no anomalous dispersion.

Most intense lines, 15 to 90 degrees two-theta, by intensity:
Position (°2θ)	I_rel	(hkl)
32.41	100.0	3 1 1
34.91	28.4	4 0 2
33.03	27.0	1 1 2
39.64	26.8	3 0 3
35.01	26.6	2 1 2
35.12	26.0	4 1 0
46.77	23.9	0 2 0
39.85	18.4	6 0 0
64.33	17.5	7 1 3
62.94	15.9	3 2 3
42.02	12.5	1 1 3
59.62	12.1	4 2 2

Structural model:
```
data_PmHgPd
_space_group_name_H-M_alt 'P 1'
_space_group_IT_number 1
_cell_length_a 13.5722
_cell_length_b 3.8843
_cell_length_c 7.8906
_cell_angle_alpha 90.00
_cell_angle_beta 90.00
_cell_angle_gamma 90.00
loop_
_space_group_symop_operation_xyz
'x,y,z'
loop_
_atom_site_label
_atom_site_type_symbol
_atom_site_fract_x
_atom_site_fract_y
_atom_site_fract_z
Pm1 Pm 0.0500 0.0000 0.2400
Pm2 Pm 0.2500 0.0000 0.8323
Pm3 Pm 0.4500 0.0000 0.2400
Pm4 Pm 0.5500 0.0000 0.7600
Pm5 Pm 0.7500 0.0000 0.1677
Pm6 Pm 0.9500 0.0000 0.7600
Hg1 Hg 0.1104 0.5000 0.5711
Hg2 Hg 0.2500 0.5000 0.1819
Hg3 Hg 0.3896 0.5000 0.5711
Hg4 Hg 0.6104 0.5000 0.4289
Hg5 Hg 0.7500 0.5000 0.8181
Hg6 Hg 0.8896 0.5000 0.4289
Pd1 Pd 0.0941 0.5000 0.9375
Pd2 Pd 0.2500 0.0000 0.4460
Pd3 Pd 0.4059 0.5000 0.9375
Pd4 Pd 0.5941 0.5000 0.0625
Pd5 Pd 0.7500 0.0000 0.5540
Pd6 Pd 0.9059 0.5000 0.0625
```